Simulated X-ray diffraction stick pattern of Pm4FeHg for λ = 1.5418 Å (Cu Kα), from the PBE geometry in Alexandria.
Neutral-atom scattering factors, no anomalous dispersion.

Cell and atoms:
Cell: 8.818 12.708 6.272 Å, 90.00 106.34 90.00°
Space group C2/c (No. 15)
Asymmetric unit:
Pm  0.105  0.162  0.040
Pm  0.212  0.416  0.404
Fe  0.000  0.000  0.250
Hg  0.000  0.375  0.750

Most intense lines, 10 to 80 degrees two-theta, in order of rising 2θ:
Position (°2θ)  I/Imax  hkl
28.09  33  0 4 0
29.41  80  1 1 -2
31.81  72  3 1 -1
32.32  100  2 2 1
35.69  39  1 3 -2
36.93  18  1 5 0
37.73  29  3 3 -1
38.77  19  1 5 -1
54.74  19  5 1 0
55.45  19  4 2 -3